Record 1
K2PmAs2O6: theoretical powder XRD pattern (Cu Kα X-rays), based on a PBE-relaxed structure.
Intensities are scaled so that the largest is 100.

Atomic structure:
```
data_K2PmAs2O6
_chemical_formula_sum 'K4 Pm2 As4 O12'
_cell_length_a 9.994
_cell_length_b 6.079
_cell_length_c 7.326
_cell_angle_alpha 90.00
_cell_angle_beta 116.41
_cell_angle_gamma 90.00
_symmetry_space_group_name_H-M 'C 1 2/m 1'
_symmetry_Int_Tables_number 12
loop_
_symmetry_equiv_pos_as_xyz
'x,y,z'
'-x,-y,-z'
'-x,y,-z'
'x,-y,z'
'x+1/2,y+1/2,z'
'-x+1/2,-y+1/2,-z'
'-x+1/2,y+1/2,-z'
'x+1/2,-y+1/2,z'
loop_
_atom_site_label
_atom_site_type_symbol
_atom_site_fract_x
_atom_site_fract_y
_atom_site_fract_z
K1 K 0.207 0.000 0.174
Pm1 Pm 0.000 0.000 0.500
As1 As 0.062 0.500 0.217
O1 O 0.033 0.268 0.752
O2 O 0.245 0.500 0.417
```

Principal peaks in the range 2θ from 5° to 70°, low angle first:
(0 0 1), 6.561 Å, rel. 28
(1 1 -1), 4.582 Å, rel. 60
(2 0 0), 4.475 Å, rel. 47
(1 1 1), 3.582 Å, rel. 32
(1 1 -2), 3.129 Å, rel. 100
(0 2 0), 3.040 Å, rel. 48
(3 1 -1), 2.921 Å, rel. 90
(2 2 1), 2.173 Å, rel. 29



Record 2
KAsSe2O8: theoretical powder XRD pattern (Cu Kα X-rays), based on a PBE-relaxed structure.
Intensities are scaled so that the largest is 100.

Atomic structure:
```
data_KAsSe2O8
_chemical_formula_sum 'K2 As2 Se4 O16'
_cell_length_a 8.694
_cell_length_b 5.648
_cell_length_c 8.279
_cell_angle_alpha 90.00
_cell_angle_beta 94.36
_cell_angle_gamma 90.00
_symmetry_space_group_name_H-M 'C 1 2/m 1'
_symmetry_Int_Tables_number 12
loop_
_symmetry_equiv_pos_as_xyz
'x,y,z'
'-x,-y,-z'
'-x,y,-z'
'x,-y,z'
'x+1/2,y+1/2,z'
'-x+1/2,-y+1/2,-z'
'-x+1/2,y+1/2,-z'
'x+1/2,-y+1/2,z'
loop_
_atom_site_label
_atom_site_type_symbol
_atom_site_fract_x
_atom_site_fract_y
_atom_site_fract_z
K1 K 0.000 0.000 0.000
As1 As 0.000 0.000 0.500
Se1 Se 0.129 0.500 0.292
O1 O 0.015 0.256 0.308
O2 O 0.198 0.500 0.113
O3 O 0.240 0.000 0.546
```

Principal peaks in the range 2θ from 5° to 70°, low angle first:
(0 0 1), 8.255 Å, rel. 84
(1 1 -1), 4.181 Å, rel. 77
(1 1 1), 4.034 Å, rel. 44
(2 0 1), 3.723 Å, rel. 56
(1 1 -2), 3.177 Å, rel. 100
(1 1 2), 3.049 Å, rel. 38
(0 2 0), 2.824 Å, rel. 41
(3 1 0), 2.572 Å, rel. 55



Record 3
KAs2SeO8: theoretical powder XRD pattern (Cu Kα X-rays), based on a PBE-relaxed structure.
Intensities are scaled so that the largest is 100.

Atomic structure:
```
data_KAs2SeO8
_chemical_formula_sum 'K3 As6 Se3 O24'
_cell_length_a 4.9934
_cell_length_b 4.9934
_cell_length_c 27.4726
_cell_angle_alpha 90.00
_cell_angle_beta 90.00
_cell_angle_gamma 120.00
_symmetry_space_group_name_H-M 'R 3 2'
_symmetry_Int_Tables_number 155
_symmetry_space_group_name_Hall 'R 3 2"'
loop_
_atom_site_label
_atom_site_type_symbol
_atom_site_fract_x
_atom_site_fract_y
_atom_site_fract_z
K1 K 0.0000 0.0000 0.0000
As1 As 0.0000 0.0000 0.2354
Se1 Se 0.0000 0.0000 0.5000
O1 O 0.0000 0.0000 0.2963
O2 O 0.0178 0.3806 0.1192
```

Principal peaks in the range 2θ from 5° to 70°, low angle first:
(0 0 3), 9.158 Å, rel. 46
(1 0 4), 3.659 Å, rel. 100
(0 1 8), 2.689 Å, rel. 20
(1 1 0), 2.497 Å, rel. 31
(0 2 4), 2.062 Å, rel. 15
(2 0 8), 1.830 Å, rel. 11
(2 1 4), 1.590 Å, rel. 15
(1 1 15), 1.476 Å, rel. 16



Record 4
KSn2AsO8: theoretical powder XRD pattern (Cu Kα X-rays), based on a PBE-relaxed structure.
Intensities are scaled so that the largest is 100.

Atomic structure:
```
data_KSn2AsO8
_chemical_formula_sum 'K1 Sn2 As1 O8'
_cell_length_a 4.426
_cell_length_b 6.960
_cell_length_c 4.932
_cell_angle_alpha 90.00
_cell_angle_beta 93.37
_cell_angle_gamma 90.00
_symmetry_space_group_name_H-M 'P 1 2/m 1'
_symmetry_Int_Tables_number 10
loop_
_symmetry_equiv_pos_as_xyz
'x,y,z'
'-x,-y,-z'
'-x,y,-z'
'x,-y,z'
loop_
_atom_site_label
_atom_site_type_symbol
_atom_site_fract_x
_atom_site_fract_y
_atom_site_fract_z
K1 K 0.000 0.000 0.000
Sn1 Sn 0.500 0.268 0.500
As1 As 0.000 0.500 0.000
O1 O 0.230 0.307 0.154
O2 O 0.246 0.500 0.678
O3 O 0.253 0.000 0.533
```

Principal peaks in the range 2θ from 5° to 70°, low angle first:
(1 0 -1), 3.389 Å, rel. 100
(1 0 1), 3.196 Å, rel. 70
(0 2 1), 2.842 Å, rel. 65
(1 2 0), 2.734 Å, rel. 93
(0 0 2), 2.462 Å, rel. 34
(1 2 -2), 1.864 Å, rel. 35
(2 2 -1), 1.773 Å, rel. 36
(2 2 1), 1.716 Å, rel. 35



Record 5
KTa2AsO8: theoretical powder XRD pattern (Cu Kα X-rays), based on a PBE-relaxed structure.
Intensities are scaled so that the largest is 100.

Atomic structure:
```
data_KTa2AsO8
_chemical_formula_sum 'K2 Ta4 As2 O16'
_cell_length_a 9.273
_cell_length_b 5.572
_cell_length_c 8.831
_cell_angle_alpha 90.00
_cell_angle_beta 107.11
_cell_angle_gamma 90.00
_symmetry_space_group_name_H-M 'C 1 2/m 1'
_symmetry_Int_Tables_number 12
loop_
_symmetry_equiv_pos_as_xyz
'x,y,z'
'-x,-y,-z'
'-x,y,-z'
'x,-y,z'
'x+1/2,y+1/2,z'
'-x+1/2,-y+1/2,-z'
'-x+1/2,y+1/2,-z'
'x+1/2,-y+1/2,z'
loop_
_atom_site_label
_atom_site_type_symbol
_atom_site_fract_x
_atom_site_fract_y
_atom_site_fract_z
K1 K 0.000 0.000 0.000
Ta1 Ta 0.197 0.000 0.675
As1 As 0.000 0.500 0.500
O1 O 0.065 0.268 0.655
O2 O 0.188 0.500 0.469
O3 O 0.192 0.500 0.123
```

Principal peaks in the range 2θ from 5° to 70°, low angle first:
(0 0 1), 8.440 Å, rel. 100
(1 1 -1), 4.424 Å, rel. 58
(1 1 1), 3.868 Å, rel. 90
(2 0 -2), 3.637 Å, rel. 56
(1 1 2), 2.926 Å, rel. 36
(0 2 0), 2.786 Å, rel. 27
(3 1 -1), 2.699 Å, rel. 42
(2 2 -2), 2.212 Å, rel. 25



Record 6
K2ThAs2O8: theoretical powder XRD pattern (Cu Kα X-rays), based on a PBE-relaxed structure.
Intensities are scaled so that the largest is 100.

Atomic structure:
```
data_K2ThAs2O8
_chemical_formula_sum 'K8 Th4 As8 O32'
_cell_length_a 7.919
_cell_length_b 11.564
_cell_length_c 10.153
_cell_angle_alpha 90.00
_cell_angle_beta 116.46
_cell_angle_gamma 90.00
_symmetry_space_group_name_H-M 'P 1 21/c 1'
_symmetry_Int_Tables_number 14
loop_
_symmetry_equiv_pos_as_xyz
'x,y,z'
'-x,-y,-z'
'-x,y+1/2,-z+1/2'
'x,-y+1/2,z+1/2'
loop_
_atom_site_label
_atom_site_type_symbol
_atom_site_fract_x
_atom_site_fract_y
_atom_site_fract_z
K1 K 0.143 0.127 0.040
K2 K 0.337 0.121 0.456
Th1 Th 0.255 0.636 0.279
As1 As 0.064 0.641 0.855
As2 As 0.463 0.633 0.636
O1 O 0.029 0.016 0.740
O2 O 0.040 0.237 0.247
O3 O 0.056 0.645 0.022
O4 O 0.232 0.601 0.517
O5 O 0.290 0.658 0.875
O6 O 0.423 0.023 0.741
O7 O 0.448 0.144 0.992
O8 O 0.487 0.738 0.227
```

Principal peaks in the range 2θ from 5° to 70°, low angle first:
(1 1 -1), 6.244 Å, rel. 60
(1 1 0), 6.044 Å, rel. 71
(0 0 2), 4.548 Å, rel. 26
(2 2 -1), 3.262 Å, rel. 100
(1 1 -3), 3.248 Å, rel. 43
(1 1 2), 3.109 Å, rel. 47
(0 4 0), 2.891 Å, rel. 38
(1 3 -3), 2.543 Å, rel. 27



Record 7
K2TlAsO4: theoretical powder XRD pattern (Cu Kα X-rays), based on a PBE-relaxed structure.
Intensities are scaled so that the largest is 100.

Atomic structure:
```
data_K2TlAsO4
_chemical_formula_sum 'K4 Tl2 As2 O8'
_cell_length_a 6.680
_cell_length_b 6.680
_cell_length_c 7.280
_cell_angle_alpha 90.00
_cell_angle_beta 90.00
_cell_angle_gamma 90.00
_symmetry_space_group_name_H-M 'I -4'
_symmetry_Int_Tables_number 82
loop_
_symmetry_equiv_pos_as_xyz
'x,y,z'
'y,-x,-z'
'-x,-y,z'
'-y,x,-z'
'x+1/2,y+1/2,z+1/2'
'y+1/2,-x+1/2,-z+1/2'
'-x+1/2,-y+1/2,z+1/2'
'-y+1/2,x+1/2,-z+1/2'
loop_
_atom_site_label
_atom_site_type_symbol
_atom_site_fract_x
_atom_site_fract_y
_atom_site_fract_z
K1 K 0.000 0.000 0.000
K2 K 0.000 0.500 0.250
Tl1 Tl 0.000 0.500 0.750
As1 As 0.000 0.000 0.500
O1 O 0.147 0.847 0.362
```

Principal peaks in the range 2θ from 5° to 70°, low angle first:
(1 0 1), 4.922 Å, rel. 81
(2 0 0), 3.340 Å, rel. 66
(1 1 2), 2.883 Å, rel. 100
(2 1 1), 2.764 Å, rel. 39
(2 2 0), 2.362 Å, rel. 30
(1 3 2), 1.827 Å, rel. 53
(2 0 4), 1.598 Å, rel. 18
(4 2 0), 1.494 Å, rel. 14



Record 8
KTm3As4O12: theoretical powder XRD pattern (Cu Kα X-rays), based on a PBE-relaxed structure.
Intensities are scaled so that the largest is 100.

Atomic structure:
```
data_KTm3As4O12
_chemical_formula_sum 'K3 Tm9 As12 O36'
_cell_length_a 11.3353
_cell_length_b 11.3353
_cell_length_c 8.8447
_cell_angle_alpha 90.00
_cell_angle_beta 90.00
_cell_angle_gamma 120.00
_symmetry_space_group_name_H-M 'R 3 2'
_symmetry_Int_Tables_number 155
_symmetry_space_group_name_Hall 'R 3 2"'
loop_
_atom_site_label
_atom_site_type_symbol
_atom_site_fract_x
_atom_site_fract_y
_atom_site_fract_z
K1 K 0.0000 0.0000 0.0000
Tm1 Tm 0.0000 0.5690 0.0000
As1 As 0.0000 0.0000 0.5000
As2 As 0.0000 0.4194 0.5000
O1 O 0.0000 0.5756 0.5000
O2 O 0.0000 0.8283 0.5000
O3 O 0.0395 0.2031 0.2202
```

Principal peaks in the range 2θ from 5° to 70°, low angle first:
(1 1 0), 5.668 Å, rel. 38
(2 1 1), 3.421 Å, rel. 56
(2 0 2), 3.285 Å, rel. 100
(1 1 3), 2.616 Å, rel. 35
(1 3 1), 2.602 Å, rel. 52
(3 1 2), 2.318 Å, rel. 26
(0 2 4), 2.016 Å, rel. 23
(5 2 0), 1.572 Å, rel. 23